# Cs2Rb5
Theoretical powder diffraction line list, Cu Ka. Input: a DFT-relaxed cell (GGA-PBE, Alexandria).
Lines closer than 0.1° are merged.

Crystal structure
```
data_Cs2Rb5
_space_group_name_H-M_alt 'C 1 2/c 1'
_space_group_IT_number 15
_cell_length_a 22.9836
_cell_length_b 8.6517
_cell_length_c 13.5536
_cell_angle_alpha 90.00
_cell_angle_beta 95.33
_cell_angle_gamma 90.00
loop_
_space_group_symop_operation_xyz
'x,y,z'
'-x,-y,-z'
'-x,y,-z+1/2'
'x,-y,z+1/2'
'x+1/2,y+1/2,z'
'-x+1/2,-y+1/2,-z'
'-x+1/2,y+1/2,-z+1/2'
'x+1/2,-y+1/2,z+1/2'
loop_
_atom_site_label
_atom_site_type_symbol
_atom_site_fract_x
_atom_site_fract_y
_atom_site_fract_z
_atom_site_occupancy
Cs1 Cs 0.0735 0.1875 0.1059 1
Rb1 Rb 0.0000 0.3198 0.7500 1
Rb2 Rb 0.1483 0.3179 0.4647 1
Rb3 Rb 0.2125 0.1895 0.8191 1
```

Main lines, low angle first (2θ from 5° to 70°):
2theta  I/Imax
19.63  25
20.53  34
21.27  66
22.29  100
22.42  98
23.15  56
29.73  27
35.43  31
37.83  25
38.07  24

=====

# Cs3Rb2
Theoretical powder diffraction line list, Cu Ka. Input: a DFT-relaxed cell (GGA-PBE, Alexandria).
Lines closer than 0.1° are merged.

Crystal structure
```
data_Cs3Rb2
_space_group_name_H-M_alt 'F d d 2'
_space_group_IT_number 43
_space_group_name_Hall 'F 2 -2d'
_cell_length_a 17.5822
_cell_length_b 25.3058
_cell_length_c 9.3461
_cell_angle_alpha 90.00
_cell_angle_beta 90.00
_cell_angle_gamma 90.00
loop_
_atom_site_label
_atom_site_type_symbol
_atom_site_fract_x
_atom_site_fract_y
_atom_site_fract_z
_atom_site_occupancy
Cs1 Cs 0.0000 0.0000 0.0000 1
Cs2 Cs 0.0339 0.1015 0.4913 1
Rb1 Rb 0.0176 0.2017 0.9599 1
```

Main lines, low angle first (2θ from 5° to 70°):
2theta  I/Imax
20.21  39
20.59  100
20.76  16
21.54  81
25.12  50
32.45  17
34.18  25
36.94  40
37.21  18
40.55  20

=====

# Cs9Rb3S2
Theoretical powder diffraction line list, Cu Ka. Input: a DFT-relaxed cell (GGA-PBE, Alexandria).
Lines closer than 0.1° are merged.

Crystal structure
```
data_Cs9Rb3S2
_space_group_name_H-M_alt 'R -3 c'
_space_group_IT_number 167
_space_group_name_Hall '-R 3 2"c'
_cell_length_a 18.1994
_cell_length_b 18.1994
_cell_length_c 25.9579
_cell_angle_alpha 90.00
_cell_angle_beta 90.00
_cell_angle_gamma 120.00
loop_
_atom_site_label
_atom_site_type_symbol
_atom_site_fract_x
_atom_site_fract_y
_atom_site_fract_z
_atom_site_occupancy
Cs1 Cs 0.0000 0.1383 0.2500 1
Cs2 Cs 0.0042 0.1579 0.9070 1
Rb1 Rb 0.0000 0.3410 0.7500 1
S1 S 0.0000 0.0000 0.1601 1
```

Main lines, low angle first (2θ from 5° to 70°):
2theta  I/Imax
9.72  18
19.51  18
20.53  25
22.07  100
28.47  20
34.13  20
36.90  22
40.16  19
41.02  14
54.40  10

=====

# CsRb3S2
Theoretical powder diffraction line list, Cu Ka. Input: a DFT-relaxed cell (GGA-PBE, Alexandria).
Lines closer than 0.1° are merged.

Crystal structure
```
data_CsRb3S2
_space_group_name_H-M_alt 'P m c 21'
_space_group_IT_number 26
_cell_length_a 5.2250
_cell_length_b 10.0713
_cell_length_c 8.5918
_cell_angle_alpha 90.00
_cell_angle_beta 90.00
_cell_angle_gamma 90.00
loop_
_space_group_symop_operation_xyz
'x,y,z'
'-x,-y,z+1/2'
'-x,y,z'
'x,-y,z+1/2'
loop_
_atom_site_label
_atom_site_type_symbol
_atom_site_fract_x
_atom_site_fract_y
_atom_site_fract_z
_atom_site_occupancy
Cs1 Cs 0.0000 0.0771 0.0000 1
Rb1 Rb 0.0000 0.3273 0.6209 1
Rb2 Rb 0.5000 0.1774 0.3313 1
Rb3 Rb 0.5000 0.4190 0.9550 1
S1 S 0.0000 0.3621 0.2318 1
S2 S 0.5000 0.1438 0.7212 1
```

Main lines, low angle first (2θ from 5° to 70°):
2theta  I/Imax
26.69  100
26.87  36
28.32  72
28.55  31
31.68  28
32.50  24
34.33  37
45.23  19
51.39  25
56.99  16

=====

# Cs3RbTh2S6
Theoretical powder diffraction line list, Cu Ka. Input: a DFT-relaxed cell (GGA-PBE, Alexandria).
Lines closer than 0.1° are merged.

Crystal structure
```
data_Cs3RbTh2S6
_space_group_name_H-M_alt 'C 1 2/m 1'
_space_group_IT_number 12
_cell_length_a 20.5465
_cell_length_b 4.3381
_cell_length_c 9.6926
_cell_angle_alpha 90.00
_cell_angle_beta 107.14
_cell_angle_gamma 90.00
loop_
_space_group_symop_operation_xyz
'x,y,z'
'-x,-y,-z'
'-x,y,-z'
'x,-y,z'
'x+1/2,y+1/2,z'
'-x+1/2,-y+1/2,-z'
'-x+1/2,y+1/2,-z'
'x+1/2,-y+1/2,z'
loop_
_atom_site_label
_atom_site_type_symbol
_atom_site_fract_x
_atom_site_fract_y
_atom_site_fract_z
_atom_site_occupancy
Cs1 Cs 0.0000 0.0000 0.0000 1
Cs2 Cs 0.1536 0.5000 0.3329 1
Rb1 Rb 0.0000 0.0000 0.5000 1
Th1 Th 0.1688 0.5000 0.8338 1
S1 S 0.0350 0.5000 0.7645 1
S2 S 0.1763 0.0000 0.6507 1
S3 S 0.1831 0.0000 0.0403 1
```

Main lines, low angle first (2θ from 5° to 70°):
2theta  I/Imax
22.17  40
23.53  35
24.62  58
27.25  45
27.62  100
37.17  20
38.35  33
40.02  31
41.64  17
44.35  16

=====

# CsRb4U3S12
Theoretical powder diffraction line list, Cu Ka. Input: a DFT-relaxed cell (GGA-PBE, Alexandria).
Lines closer than 0.1° are merged.

Crystal structure
```
data_CsRb4U3S12
_space_group_name_H-M_alt 'I m -3 m'
_space_group_IT_number 229
_space_group_name_Hall '-I 4 2 3'
_cell_length_a 10.8319
_cell_length_b 10.8319
_cell_length_c 10.8319
_cell_angle_alpha 90.00
_cell_angle_beta 90.00
_cell_angle_gamma 90.00
loop_
_atom_site_label
_atom_site_type_symbol
_atom_site_fract_x
_atom_site_fract_y
_atom_site_fract_z
_atom_site_occupancy
Cs1 Cs 0.0000 0.0000 0.0000 1
Rb1 Rb 0.2500 0.2500 0.2500 1
U1 U 0.0000 0.0000 0.5000 1
S1 S 0.0000 0.0000 0.2810 1
S2 S 0.0000 0.2500 0.5000 1
```

Main lines, low angle first (2θ from 5° to 70°):
2theta  I/Imax
16.37  39
23.23  100
33.08  46
37.12  19
40.81  46
47.48  32
50.56  10
53.50  23
59.09  11
64.36  26

=====

# CsRb2US6
Theoretical powder diffraction line list, Cu Ka. Input: a DFT-relaxed cell (GGA-PBE, Alexandria).
Lines closer than 0.1° are merged.

Crystal structure
```
data_CsRb2US6
_space_group_name_H-M_alt 'P 1 21/c 1'
_space_group_IT_number 14
_cell_length_a 8.7803
_cell_length_b 7.9941
_cell_length_c 10.8682
_cell_angle_alpha 90.00
_cell_angle_beta 120.22
_cell_angle_gamma 90.00
loop_
_space_group_symop_operation_xyz
'x,y,z'
'-x,-y,-z'
'-x,y+1/2,-z+1/2'
'x,-y+1/2,z+1/2'
loop_
_atom_site_label
_atom_site_type_symbol
_atom_site_fract_x
_atom_site_fract_y
_atom_site_fract_z
_atom_site_occupancy
Cs1 Cs 0.0000 0.0000 0.0000 1
Rb1 Rb 0.2522 0.0153 0.7906 1
U1 U 0.5000 0.0000 0.5000 1
S1 S 0.1845 0.0752 0.3492 1
S2 S 0.3795 0.7358 0.1190 1
S3 S 0.4423 0.2329 0.6591 1
```

Main lines, low angle first (2θ from 5° to 70°):
2theta  I/Imax
11.66  25
15.41  37
21.48  100
22.24  30
27.15  52
31.10  54
33.65  33
37.22  19
43.76  19
53.46  21

=====

# CsRbSb3
Theoretical powder diffraction line list, Cu Ka. Input: a DFT-relaxed cell (GGA-PBE, Alexandria).
Lines closer than 0.1° are merged.

Crystal structure
```
data_CsRbSb3
_space_group_name_H-M_alt 'R 3 m'
_space_group_IT_number 160
_space_group_name_Hall 'R 3 -2"'
_cell_length_a 6.9777
_cell_length_b 6.9777
_cell_length_c 20.0572
_cell_angle_alpha 90.00
_cell_angle_beta 90.00
_cell_angle_gamma 120.00
loop_
_atom_site_label
_atom_site_type_symbol
_atom_site_fract_x
_atom_site_fract_y
_atom_site_fract_z
_atom_site_occupancy
Cs1 Cs 0.0000 0.0000 0.0000 1
Rb1 Rb 0.0000 0.0000 0.4366 1
Sb1 Sb 0.1962 0.3923 0.8458 1
```

Main lines, low angle first (2θ from 5° to 70°):
2theta  I/Imax
13.24  66
15.31  99
23.05  38
26.67  91
28.87  41
29.91  31
30.91  100
34.66  84
40.50  30
47.11  47

=====

# Cs2Rb5Sb2
Theoretical powder diffraction line list, Cu Ka. Input: a DFT-relaxed cell (GGA-PBE, Alexandria).
Lines closer than 0.1° are merged.

Crystal structure
```
data_Cs2Rb5Sb2
_space_group_name_H-M_alt 'C 1 2/m 1'
_space_group_IT_number 12
_cell_length_a 27.9706
_cell_length_b 6.6647
_cell_length_c 6.6622
_cell_angle_alpha 90.00
_cell_angle_beta 103.68
_cell_angle_gamma 90.00
loop_
_space_group_symop_operation_xyz
'x,y,z'
'-x,-y,-z'
'-x,y,-z'
'x,-y,z'
'x+1/2,y+1/2,z'
'-x+1/2,-y+1/2,-z'
'-x+1/2,y+1/2,-z'
'x+1/2,-y+1/2,z'
loop_
_atom_site_label
_atom_site_type_symbol
_atom_site_fract_x
_atom_site_fract_y
_atom_site_fract_z
_atom_site_occupancy
Cs1 Cs 0.2500 0.0000 0.2499 1
Rb1 Rb 0.0000 0.0000 0.5000 1
Rb2 Rb 0.1016 0.0000 0.0984 1
Rb3 Rb 0.1017 0.5000 0.5963 1
Sb1 Sb 0.1543 0.0000 0.6511 1
```

Main lines, low angle first (2θ from 5° to 70°):
2theta  I/Imax
6.50  23
13.68  37
18.83  14
26.57  14
26.76  67
27.31  100
37.82  15
38.21  29
47.60  42
50.87  15

=====

# CsRb2SnSb2
Theoretical powder diffraction line list, Cu Ka. Input: a DFT-relaxed cell (GGA-PBE, Alexandria).
Lines closer than 0.1° are merged.

Crystal structure
```
data_CsRb2SnSb2
_space_group_name_H-M_alt 'I b a m'
_space_group_IT_number 72
_space_group_name_Hall '-I 2 2c'
_cell_length_a 9.4359
_cell_length_b 15.8789
_cell_length_c 7.7041
_cell_angle_alpha 90.00
_cell_angle_beta 90.00
_cell_angle_gamma 90.00
loop_
_atom_site_label
_atom_site_type_symbol
_atom_site_fract_x
_atom_site_fract_y
_atom_site_fract_z
_atom_site_occupancy
Cs1 Cs 0.0000 0.0000 0.2500 1
Rb1 Rb 0.1786 0.3194 0.0000 1
Sn1 Sn 0.0000 0.5000 0.2500 1
Sb1 Sb 0.1851 0.4016 0.5000 1
```

Main lines, low angle first (2θ from 5° to 70°):
2theta  I/Imax
10.91  38
11.14  86
21.91  56
25.71  43
26.98  81
27.85  37
29.40  61
29.95  100
32.39  65
57.61  35

=====

# CsRb2Se4
Theoretical powder diffraction line list, Cu Ka. Input: a DFT-relaxed cell (GGA-PBE, Alexandria).
Lines closer than 0.1° are merged.

Crystal structure
```
data_CsRb2Se4
_space_group_name_H-M_alt 'C 1 2/c 1'
_space_group_IT_number 15
_cell_length_a 21.6284
_cell_length_b 5.2749
_cell_length_c 9.9450
_cell_angle_alpha 90.00
_cell_angle_beta 99.76
_cell_angle_gamma 90.00
loop_
_space_group_symop_operation_xyz
'x,y,z'
'-x,-y,-z'
'-x,y,-z+1/2'
'x,-y,z+1/2'
'x+1/2,y+1/2,z'
'-x+1/2,-y+1/2,-z'
'-x+1/2,y+1/2,-z+1/2'
'x+1/2,-y+1/2,z+1/2'
loop_
_atom_site_label
_atom_site_type_symbol
_atom_site_fract_x
_atom_site_fract_y
_atom_site_fract_z
_atom_site_occupancy
Cs1 Cs 0.0000 0.2371 0.2500 1
Rb1 Rb 0.1819 0.4775 0.7262 1
Se1 Se 0.0939 0.2324 0.9546 1
Se2 Se 0.1882 0.0038 0.4758 1
```

Main lines, low angle first (2θ from 5° to 70°):
2theta  I/Imax
19.89  40
22.47  40
23.71  100
25.67  42
26.39  64
29.23  67
30.50  48
31.89  38
35.05  62
48.57  56

=====

# CsRbSe3
Theoretical powder diffraction line list, Cu Ka. Input: a DFT-relaxed cell (GGA-PBE, Alexandria).
Lines closer than 0.1° are merged.

Crystal structure
```
data_CsRbSe3
_space_group_name_H-M_alt 'C 1 c 1'
_space_group_IT_number 9
_cell_length_a 11.1835
_cell_length_b 7.8429
_cell_length_c 9.5089
_cell_angle_alpha 90.00
_cell_angle_beta 111.40
_cell_angle_gamma 90.00
loop_
_space_group_symop_operation_xyz
'x,y,z'
'x,-y,z+1/2'
'x+1/2,y+1/2,z'
'x+1/2,-y+1/2,z+1/2'
loop_
_atom_site_label
_atom_site_type_symbol
_atom_site_fract_x
_atom_site_fract_y
_atom_site_fract_z
_atom_site_occupancy
Cs1 Cs 0.0000 0.9999 0.0000 1
Rb1 Rb 0.0863 0.4989 0.2885 1
Se1 Se 0.2921 0.0001 0.3222 1
Se2 Se 0.2962 0.2478 0.1735 1
Se3 Se 0.2955 0.2484 0.6737 1
```

Main lines, low angle first (2θ from 5° to 70°):
2theta  I/Imax
21.89  88
27.10  100
28.11  84
28.50  99
28.62  76
30.45  75
30.92  49
31.15  80
34.45  49
52.32  46